Structure and computed powder X-ray diffraction pattern of SrErW2O8 (DFT lattice parameters and positions (GGA+U); CuKα).
Peak positions follow from Bragg's law for the DFT cell and can differ from measured ones.

The 8 most intense peaks (2θ = 5–70°), low angle first:
21.25 deg, I = 100
29.81 deg, I = 65
30.63 deg, I = 51
36.90 deg, I = 12
43.27 deg, I = 28
48.14 deg, I = 23
52.92 deg, I = 13
53.43 deg, I = 23

Structural model:
```
data_SrErW2O8
_chemical_formula_sum 'Sr1 Er1 W2 O8'
_space_group_name_H-M_alt 'P -3 m 1'
_space_group_IT_number 164
_space_group_name_Hall '-P 3 2"'
_cell_length_a 5.9934
_cell_length_b 5.9934
_cell_length_c 7.0595
_cell_angle_alpha 90.00
_cell_angle_beta 90.00
_cell_angle_gamma 120.00
loop_
_atom_site_label
_atom_site_type_symbol
_atom_site_fract_x
_atom_site_fract_y
_atom_site_fract_z
Sr1 Sr 0.0000 0.0000 0.0000
Er1 Er 0.0000 0.0000 0.5000
W1 W 0.3333 0.6667 0.7862
O1 O 0.1621 0.3241 0.7077
O2 O 0.3333 0.6667 0.0412
```